No. 1
This entry pairs a crystal structure of Li4CrO5 with its theoretical PXRD pattern. Radiation: a wavelength of 1.5418 Å. Structure: a crystal structure in the Materials Project, relaxed with PBE+U.
Lines closer than 0.1° are merged.

Structure:
```
data_Li4CrO5
_chemical_formula_sum 'Li8 Cr2 O10'
_cell_length_a 4.9946
_cell_length_b 5.1159
_cell_length_c 7.5657
_cell_angle_alpha 106.33
_cell_angle_beta 102.92
_cell_angle_gamma 102.24
_space_group_name_H-M_alt 'P -1'
_space_group_IT_number 2
loop_
_space_group_symop_operation_xyz
'x,y,z'
'-x,-y,-z'
loop_
_atom_site_label
_atom_site_type_symbol
_atom_site_fract_x
_atom_site_fract_y
_atom_site_fract_z
Li1 Li 0.0000 0.0000 0.0000
Li2 Li 0.0871 0.1888 0.7064
Li3 Li 0.1825 0.3826 0.3898
Li4 Li 0.2919 0.6084 0.0965
Li5 Li 0.5000 0.0000 0.5000
Cr1 Cr 0.4078 0.7499 0.7817
O1 O 0.0869 0.6112 0.8419
O2 O 0.1817 0.8189 0.5868
O3 O 0.2847 0.0140 0.2455
O4 O 0.3754 0.1973 0.9777
O5 O 0.4458 0.4312 0.6599
```

Top 10 peaks for 15 to 90 degrees two-theta, sorted by position:
2θ 18.83, I 1000
2θ 19.07, I 695
2θ 19.51, I 423
2θ 22.61, I 182
2θ 25.71, I 725
2θ 26.39, I 617
2θ 42.25, I 582
2θ 44.87, I 557
2θ 45.34, I 548
2θ 63.28, I 244


No. 2
This entry pairs a crystal structure of Li5Cr2O8 with its theoretical PXRD pattern. Radiation: a wavelength of 1.5418 Å. Structure: a crystal structure in the Materials Project, relaxed with PBE+U.
Lines closer than 0.1° are merged.

Structure:
```
data_Li5Cr2O8
_chemical_formula_sum 'Li5 Cr2 O8'
_cell_length_a 5.1576
_cell_length_b 5.3632
_cell_length_c 7.8063
_cell_angle_alpha 82.72
_cell_angle_beta 71.91
_cell_angle_gamma 65.53
_space_group_name_H-M_alt 'P 1'
_space_group_IT_number 1
loop_
_space_group_symop_operation_xyz
'x,y,z'
loop_
_atom_site_label
_atom_site_type_symbol
_atom_site_fract_x
_atom_site_fract_y
_atom_site_fract_z
Li1 Li 0.0000 0.0000 0.0000
Li2 Li 0.0648 0.4878 0.9033
Li3 Li 0.1960 0.5573 0.4827
Li4 Li 0.2675 0.0368 0.6616
Li5 Li 0.7808 0.4677 0.2873
Cr1 Cr 0.4139 0.0510 0.2296
Cr2 Cr 0.6151 0.4624 0.7087
O1 O 0.1572 0.1981 0.1163
O2 O 0.2691 0.9121 0.4175
O3 O 0.3188 0.7324 0.8356
O4 O 0.4206 0.3066 0.6532
O5 O 0.5022 0.2932 0.2769
O6 O 0.7226 0.8029 0.1096
O7 O 0.8165 0.5570 0.5098
O8 O 0.8610 0.2845 0.8325
```

Top 10 peaks for 15 to 90 degrees two-theta, sorted by position:
2θ 19.74, I 364
2θ 20.86, I 163
2θ 21.09, I 573
2θ 21.79, I 1000
2θ 23.98, I 315
2θ 26.41, I 404
2θ 26.79, I 325
2θ 30.26, I 140
2θ 31.97, I 168
2θ 40.85, I 200


No. 3
This entry pairs a crystal structure of Li4CrO4 with its theoretical PXRD pattern. Radiation: a wavelength of 1.5418 Å. Structure: a crystal structure in the Materials Project, relaxed with PBE+U.
Lines closer than 0.1° are merged.

Structure:
```
data_Li4CrO4
_chemical_formula_sum 'Li16 Cr4 O16'
_cell_length_a 7.9387
_cell_length_b 7.4510
_cell_length_c 6.1696
_cell_angle_alpha 90.00
_cell_angle_beta 90.00
_cell_angle_gamma 90.00
_space_group_name_H-M_alt 'C m c m'
_space_group_IT_number 63
_space_group_name_Hall '-C 2c 2'
loop_
_atom_site_label
_atom_site_type_symbol
_atom_site_fract_x
_atom_site_fract_y
_atom_site_fract_z
Li1 Li 0.1478 0.2266 0.2500
Li2 Li 0.1610 0.5000 0.0000
Cr1 Cr 0.0000 0.1608 0.7500
O1 O 0.0000 0.2968 0.5050
O2 O 0.1968 0.0375 0.7500
```

Top 10 peaks for 15 to 90 degrees two-theta, sorted by position:
2θ 16.32, I 329
2θ 21.80, I 1000
2θ 22.40, I 364
2θ 27.98, I 519
2θ 32.97, I 529
2θ 33.40, I 530
2θ 36.13, I 188
2θ 38.96, I 272
2θ 48.43, I 244
2θ 59.16, I 286


Copy entry 3 word for word.
This entry pairs a crystal structure of Li4CrO4 with its theoretical PXRD pattern. Radiation: a wavelength of 1.5418 Å. Structure: a crystal structure in the Materials Project, relaxed with PBE+U.
Lines closer than 0.1° are merged.

Structure:
```
data_Li4CrO4
_chemical_formula_sum 'Li16 Cr4 O16'
_cell_length_a 7.9387
_cell_length_b 7.4510
_cell_length_c 6.1696
_cell_angle_alpha 90.00
_cell_angle_beta 90.00
_cell_angle_gamma 90.00
_space_group_name_H-M_alt 'C m c m'
_space_group_IT_number 63
_space_group_name_Hall '-C 2c 2'
loop_
_atom_site_label
_atom_site_type_symbol
_atom_site_fract_x
_atom_site_fract_y
_atom_site_fract_z
Li1 Li 0.1478 0.2266 0.2500
Li2 Li 0.1610 0.5000 0.0000
Cr1 Cr 0.0000 0.1608 0.7500
O1 O 0.0000 0.2968 0.5050
O2 O 0.1968 0.0375 0.7500
```

Top 10 peaks for 15 to 90 degrees two-theta, sorted by position:
2θ 16.32, I 329
2θ 21.80, I 1000
2θ 22.40, I 364
2θ 27.98, I 519
2θ 32.97, I 529
2θ 33.40, I 530
2θ 36.13, I 188
2θ 38.96, I 272
2θ 48.43, I 244
2θ 59.16, I 286


Please write out number 1 again, unchanged.
This entry pairs a crystal structure of Li4CrO5 with its theoretical PXRD pattern. Radiation: a wavelength of 1.5418 Å. Structure: a crystal structure in the Materials Project, relaxed with PBE+U.
Lines closer than 0.1° are merged.

Structure:
```
data_Li4CrO5
_chemical_formula_sum 'Li8 Cr2 O10'
_cell_length_a 4.9946
_cell_length_b 5.1159
_cell_length_c 7.5657
_cell_angle_alpha 106.33
_cell_angle_beta 102.92
_cell_angle_gamma 102.24
_space_group_name_H-M_alt 'P -1'
_space_group_IT_number 2
loop_
_space_group_symop_operation_xyz
'x,y,z'
'-x,-y,-z'
loop_
_atom_site_label
_atom_site_type_symbol
_atom_site_fract_x
_atom_site_fract_y
_atom_site_fract_z
Li1 Li 0.0000 0.0000 0.0000
Li2 Li 0.0871 0.1888 0.7064
Li3 Li 0.1825 0.3826 0.3898
Li4 Li 0.2919 0.6084 0.0965
Li5 Li 0.5000 0.0000 0.5000
Cr1 Cr 0.4078 0.7499 0.7817
O1 O 0.0869 0.6112 0.8419
O2 O 0.1817 0.8189 0.5868
O3 O 0.2847 0.0140 0.2455
O4 O 0.3754 0.1973 0.9777
O5 O 0.4458 0.4312 0.6599
```

Top 10 peaks for 15 to 90 degrees two-theta, sorted by position:
2θ 18.83, I 1000
2θ 19.07, I 695
2θ 19.51, I 423
2θ 22.61, I 182
2θ 25.71, I 725
2θ 26.39, I 617
2θ 42.25, I 582
2θ 44.87, I 557
2θ 45.34, I 548
2θ 63.28, I 244


What did the second record say?
This entry pairs a crystal structure of Li5Cr2O8 with its theoretical PXRD pattern. Radiation: a wavelength of 1.5418 Å. Structure: a crystal structure in the Materials Project, relaxed with PBE+U.
Lines closer than 0.1° are merged.

Structure:
```
data_Li5Cr2O8
_chemical_formula_sum 'Li5 Cr2 O8'
_cell_length_a 5.1576
_cell_length_b 5.3632
_cell_length_c 7.8063
_cell_angle_alpha 82.72
_cell_angle_beta 71.91
_cell_angle_gamma 65.53
_space_group_name_H-M_alt 'P 1'
_space_group_IT_number 1
loop_
_space_group_symop_operation_xyz
'x,y,z'
loop_
_atom_site_label
_atom_site_type_symbol
_atom_site_fract_x
_atom_site_fract_y
_atom_site_fract_z
Li1 Li 0.0000 0.0000 0.0000
Li2 Li 0.0648 0.4878 0.9033
Li3 Li 0.1960 0.5573 0.4827
Li4 Li 0.2675 0.0368 0.6616
Li5 Li 0.7808 0.4677 0.2873
Cr1 Cr 0.4139 0.0510 0.2296
Cr2 Cr 0.6151 0.4624 0.7087
O1 O 0.1572 0.1981 0.1163
O2 O 0.2691 0.9121 0.4175
O3 O 0.3188 0.7324 0.8356
O4 O 0.4206 0.3066 0.6532
O5 O 0.5022 0.2932 0.2769
O6 O 0.7226 0.8029 0.1096
O7 O 0.8165 0.5570 0.5098
O8 O 0.8610 0.2845 0.8325
```

Top 10 peaks for 15 to 90 degrees two-theta, sorted by position:
2θ 19.74, I 364
2θ 20.86, I 163
2θ 21.09, I 573
2θ 21.79, I 1000
2θ 23.98, I 315
2θ 26.41, I 404
2θ 26.79, I 325
2θ 30.26, I 140
2θ 31.97, I 168
2θ 40.85, I 200